The following is a theoretical powder diffractogram of Nb2Zn2FeO8. It was derived from a GGA+U-relaxed structure, using Cu Kα X-rays.

Structure:
```
data_Nb2Zn2FeO8
_cell_length_a 19.5381
_cell_length_b 5.9551
_cell_length_c 5.3145
_cell_angle_alpha 90.00
_cell_angle_beta 90.47
_cell_angle_gamma 90.00
_space_group_name_H-M_alt 'C 1 2/c 1'
_space_group_IT_number 15
_space_group_name_Hall '-C 2yc'
loop_
_atom_site_label
_atom_site_fract_x
_atom_site_fract_y
_atom_site_fract_z
_atom_site_occupancy
Nb1 0.1156 0.1613 0.2649 1
Zn1 0.2201 0.3463 0.7662 1
Fe1 0.0000 0.3478 0.7500 1
O1 0.0593 0.3768 0.4039 1
O2 0.0705 0.1161 0.9262 1
O3 0.1792 0.1048 0.5614 1
O4 0.1939 0.3534 0.1344 1
```

The 10 most intense peaks (5° ≤ 2θ ≤ 70°), by angle:
| 2θ/deg | d [Å] | intensity | hkl |
| --- | --- | --- | --- |
| 9.1 | 9.769 | 27 | 2 0 0 |
| 26.4 | 3.378 | 24 | 3 1 1 |
| 27.3 | 3.266 | 75 | 5 1 0 |
| 32.1 | 2.792 | 100 | 5 1 -1 |
| 32.3 | 2.775 | 73 | 5 1 1 |
| 33.7 | 2.657 | 58 | 0 0 2 |
| 34.5 | 2.598 | 82 | 0 2 1 |
| 51.5 | 1.776 | 24 | 8 2 1 |
| 51.6 | 1.770 | 38 | 5 3 0 |
| 60.8 | 1.522 | 34 | 0 2 3 |